Al7Ag: theoretical PXRD pattern (λ = 1.5418 Å (Cu Kα)), based on a structure optimized by DFT (PBE).
No peak broadening, texture or thermal motion is included.

Atomic structure:
Unit cell a=8.971 b=4.101 c=8.143 alpha=90.00 beta=116.70 gamma=90.00
Sites, in units of the cell vectors:
Al 0.000 0.000 0.000
Al 0.002 0.500 0.754
Al 0.248 0.000 0.374
Al 0.249 0.500 0.124
Al 0.251 0.000 0.876
Al 0.252 0.500 0.626
Al 0.498 0.000 0.246
Al 0.500 0.500 0.000
Al 0.502 0.000 0.754
Al 0.748 0.500 0.374
Al 0.749 0.000 0.124
Al 0.751 0.500 0.876
Al 0.752 0.000 0.626
Al 0.998 0.500 0.246
Ag 0.000 0.000 0.500
Ag 0.500 0.500 0.500

Top 8 peaks for 2θ from 15° to 90°, in order of falling intensity:
Position (°2θ), d_spacing, I_rel, index
38.34, 2.348, 100, 1 1 2
38.48, 2.340, 99, 3 1 -2
24.41, 3.646, 40, 1 1 0
44.17, 2.051, 33, 0 2 0
44.51, 2.036, 32, 2 0 -4
65.11, 1.433, 31, 4 2 0
45.26, 2.004, 31, 4 0 0
24.95, 3.569, 25, 1 1 -1